Starting from DFT lattice parameters and positions (PBE), the X-ray diffraction stick pattern of LaNd10Tm6 was computed for Cu Ka.
Lines closer than 0.1° are merged.

The 10 most intense peaks (2θ = 15–90°), most intense first:
Position (°2θ)  intensity
31.6  100
31.5  83
30.6  33
56.1  29
45.2  27
56.4  19
48.3  12
62.0  10
40.3  9
58.8  9

Crystal structure
```
data_LaNd10Tm6
_chemical_formula_sum 'La1 Nd10 Tm6'
_space_group_name_H-M_alt 'P -3 1 m'
_space_group_IT_number 162
_space_group_name_Hall '-P 3 2'
_cell_length_a 9.8507
_cell_length_b 9.8507
_cell_length_c 6.9173
_cell_angle_alpha 90.00
_cell_angle_beta 90.00
_cell_angle_gamma 120.00
loop_
_atom_site_label
_atom_site_type_symbol
_atom_site_fract_x
_atom_site_fract_y
_atom_site_fract_z
_atom_site_occupancy
La1 La 0.0000 0.0000 0.0000 1
Nd1 Nd 0.0000 0.2807 0.6764 1
Nd2 Nd 0.3333 0.6667 0.0000 1
Nd3 Nd 0.3333 0.6667 0.5000 1
Tm1 Tm 0.0000 0.3676 0.1833 1
```

Starting from DFT lattice parameters and positions (PBE), the X-ray diffraction stick pattern of La15Nd4Tm was computed for Cu Ka.
Lines closer than 0.1° are merged.

The 10 most intense peaks (2θ = 15–90°), most intense first:
Position (°2θ)  intensity
29.5  100
49.2  36
34.3  34
58.4  29
34.1  17
58.3  14
61.3  12
79.7  12
79.8  6
82.4  5

Crystal structure
```
data_La15Nd4Tm
_chemical_formula_sum 'La15 Nd4 Tm1'
_space_group_name_H-M_alt 'P 4/m m m'
_space_group_IT_number 123
_space_group_name_Hall '-P 4 2'
_cell_length_a 5.2353
_cell_length_b 5.2353
_cell_length_c 26.2742
_cell_angle_alpha 90.00
_cell_angle_beta 90.00
_cell_angle_gamma 90.00
loop_
_atom_site_label
_atom_site_type_symbol
_atom_site_fract_x
_atom_site_fract_y
_atom_site_fract_z
_atom_site_occupancy
La1 La 0.0000 0.0000 0.0000 1
La2 La 0.0000 0.0000 0.1989 1
La3 La 0.0000 0.0000 0.3996 1
La4 La 0.0000 0.5000 0.0984 1
La5 La 0.0000 0.5000 0.2988 1
La6 La 0.0000 0.5000 0.5000 1
Nd1 Nd 0.5000 0.5000 0.1986 1
Nd2 Nd 0.5000 0.5000 0.3995 1
Tm1 Tm 0.5000 0.5000 0.0000 1
```

Starting from DFT lattice parameters and positions (PBE), the X-ray diffraction stick pattern of La5NdTm4 was computed for Cu Ka.
Lines closer than 0.1° are merged.

The 10 most intense peaks (2θ = 15–90°), most intense first:
Position (°2θ)  intensity
30.1  100
34.3  36
58.8  30
50.6  23
36.1  15
49.2  13
61.2  12
62.6  12
82.3  11
80.2  6

Crystal structure
```
data_La5NdTm4
_chemical_formula_sum 'La5 Nd1 Tm4'
_space_group_name_H-M_alt 'P 4/m m m'
_space_group_IT_number 123
_space_group_name_Hall '-P 4 2'
_cell_length_a 3.7009
_cell_length_b 3.7009
_cell_length_c 24.8859
_cell_angle_alpha 90.00
_cell_angle_beta 90.00
_cell_angle_gamma 90.00
loop_
_atom_site_label
_atom_site_type_symbol
_atom_site_fract_x
_atom_site_fract_y
_atom_site_fract_z
_atom_site_occupancy
La1 La 0.0000 0.0000 0.0000 1
La2 La 0.0000 0.0000 0.1968 1
La3 La 0.0000 0.0000 0.3952 1
Nd1 Nd 0.5000 0.5000 0.5000 1
Tm1 Tm 0.5000 0.5000 0.0984 1
Tm2 Tm 0.5000 0.5000 0.2955 1
```

Starting from DFT lattice parameters and positions (PBE), the X-ray diffraction stick pattern of La7Nd2Tm4 was computed for Cu Ka.
Lines closer than 0.1° are merged.

The 10 most intense peaks (2θ = 15–90°), most intense first:
Position (°2θ)  intensity
31.6  100
29.2  38
50.3  27
35.2  26
31.8  25
27.2  24
28.4  23
50.8  17
26.1  15
58.1  12

Crystal structure
```
data_La7Nd2Tm4
_chemical_formula_sum 'La7 Nd2 Tm4'
_space_group_name_H-M_alt 'P -3 1 m'
_space_group_IT_number 162
_space_group_name_Hall '-P 3 2'
_cell_length_a 6.2830
_cell_length_b 6.2830
_cell_length_c 13.1376
_cell_angle_alpha 90.00
_cell_angle_beta 90.00
_cell_angle_gamma 120.00
loop_
_atom_site_label
_atom_site_type_symbol
_atom_site_fract_x
_atom_site_fract_y
_atom_site_fract_z
_atom_site_occupancy
La1 La 0.0000 0.0000 0.0000 1
La2 La 0.0000 0.3833 0.2323 1
Nd1 Nd 0.3333 0.6667 0.0000 1
Tm1 Tm 0.0000 0.0000 0.3907 1
Tm2 Tm 0.3333 0.6667 0.5000 1
```

Starting from DFT lattice parameters and positions (PBE), the X-ray diffraction stick pattern of La3Nd4Tm was computed for Cu Ka.
Lines closer than 0.1° are merged.

The 10 most intense peaks (2θ = 15–90°), most intense first:
Position (°2θ)  intensity
30.6  100
29.9  78
29.3  57
36.3  33
35.5  31
60.9  28
53.5  21
25.8  19
86.1  15
60.4  15

Crystal structure
```
data_La3Nd4Tm
_chemical_formula_sum 'La6 Nd8 Tm2'
_space_group_name_H-M_alt 'I m m m'
_space_group_IT_number 71
_space_group_name_Hall '-I 2 2'
_cell_length_a 3.5680
_cell_length_b 11.9808
_cell_length_c 13.3681
_cell_angle_alpha 90.00
_cell_angle_beta 90.00
_cell_angle_gamma 90.00
loop_
_atom_site_label
_atom_site_type_symbol
_atom_site_fract_x
_atom_site_fract_y
_atom_site_fract_z
_atom_site_occupancy
La1 La 0.0000 0.0000 0.0000 1
La2 La 0.0000 0.5000 0.2405 1
Nd1 Nd 0.0000 0.2465 0.3670 1
Tm1 Tm 0.0000 0.0000 0.5000 1
```

Starting from DFT lattice parameters and positions (PBE), the X-ray diffraction stick pattern of LaNd12Tm5 was computed for Cu Ka.
Lines closer than 0.1° are merged.

The 10 most intense peaks (2θ = 15–90°), most intense first:
Position (°2θ)  intensity
30.1  100
34.9  34
59.6  29
50.2  24
35.0  17
59.8  14
62.6  12
50.1  12
81.7  12
84.1  8

Crystal structure
```
data_LaNd12Tm5
_chemical_formula_sum 'La2 Nd24 Tm10'
_space_group_name_H-M_alt 'C m m m'
_space_group_IT_number 65
_space_group_name_Hall '-C 2 2'
_cell_length_a 15.3797
_cell_length_b 15.4440
_cell_length_c 5.1461
_cell_angle_alpha 90.00
_cell_angle_beta 90.00
_cell_angle_gamma 90.00
loop_
_atom_site_label
_atom_site_type_symbol
_atom_site_fract_x
_atom_site_fract_y
_atom_site_fract_z
_atom_site_occupancy
La1 La 0.0000 0.0000 0.0000 1
Nd1 Nd 0.1634 0.5000 0.0000 1
Nd2 Nd 0.1637 0.3339 0.5000 1
Nd3 Nd 0.1659 0.1679 0.0000 1
Nd4 Nd 0.1676 0.0000 0.5000 1
Tm1 Tm 0.0000 0.1688 0.5000 1
Tm2 Tm 0.0000 0.3330 0.0000 1
Tm3 Tm 0.0000 0.5000 0.5000 1
```

Starting from DFT lattice parameters and positions (PBE), the X-ray diffraction stick pattern of La4Nd4Tm3 was computed for Cu Ka.
Lines closer than 0.1° are merged.

The 10 most intense peaks (2θ = 15–90°), most intense first:
Position (°2θ)  intensity
31.2  100
31.0  89
30.8  52
30.4  43
43.8  31
61.1  29
55.7  28
55.1  20
55.0  18
45.2  17

Crystal structure
```
data_La4Nd4Tm3
_chemical_formula_sum 'La4 Nd4 Tm3'
_space_group_name_H-M_alt 'P -1'
_space_group_IT_number 2
_cell_length_a 3.5740
_cell_length_b 5.7977
_cell_length_c 18.4708
_cell_angle_alpha 80.99
_cell_angle_beta 84.46
_cell_angle_gamma 90.00
loop_
_space_group_symop_operation_xyz
'x,y,z'
'-x,-y,-z'
loop_
_atom_site_label
_atom_site_type_symbol
_atom_site_fract_x
_atom_site_fract_y
_atom_site_fract_z
_atom_site_occupancy
La1 La 0.0929 0.0917 0.3145 1
La2 La 0.2286 0.7282 0.0432 1
Nd1 Nd 0.0444 0.5435 0.4112 1
Nd2 Nd 0.1828 0.1822 0.1352 1
Tm1 Tm 0.3639 0.3653 0.7711 1
Tm2 Tm 0.5000 0.0000 0.5000 1
```

Starting from DFT lattice parameters and positions (PBE), the X-ray diffraction stick pattern of La2Nd2Tm was computed for Cu Ka.
Lines closer than 0.1° are merged.

The 10 most intense peaks (2θ = 15–90°), most intense first:
Position (°2θ)  intensity
31.0  100
33.4  43
30.7  40
28.6  24
44.3  17
54.8  16
60.2  12
54.1  11
61.9  11
43.3  11

Crystal structure
```
data_La2Nd2Tm
_chemical_formula_sum 'La8 Nd8 Tm4'
_space_group_name_H-M_alt 'I m m a'
_space_group_IT_number 74
_space_group_name_Hall '-I 2b 2'
_cell_length_a 3.6186
_cell_length_b 5.8188
_cell_length_c 33.2265
_cell_angle_alpha 90.00
_cell_angle_beta 90.00
_cell_angle_gamma 90.00
loop_
_atom_site_label
_atom_site_type_symbol
_atom_site_fract_x
_atom_site_fract_y
_atom_site_fract_z
_atom_site_occupancy
La1 La 0.0000 0.2500 0.1875 1
La2 La 0.0000 0.2500 0.7084 1
Nd1 Nd 0.0000 0.2500 0.8824 1
Nd2 Nd 0.0000 0.2500 0.9786 1
Tm1 Tm 0.0000 0.2500 0.4251 1
```

Starting from DFT lattice parameters and positions (PBE), the X-ray diffraction stick pattern of La5Nd2Tm4 was computed for Cu Ka.
Lines closer than 0.1° are merged.

The 10 most intense peaks (2θ = 15–90°), most intense first:
Position (°2θ)  intensity
30.8  100
35.0  56
30.4  38
36.7  13
51.9  12
50.6  11
29.1  11
60.1  11
51.3  11
59.7  10

Crystal structure
```
data_La5Nd2Tm4
_chemical_formula_sum 'La10 Nd4 Tm8'
_space_group_name_H-M_alt 'C 1 2/m 1'
_space_group_IT_number 12
_cell_length_a 18.1683
_cell_length_b 3.6088
_cell_length_c 12.3011
_cell_angle_alpha 90.00
_cell_angle_beta 106.78
_cell_angle_gamma 90.00
loop_
_space_group_symop_operation_xyz
'x,y,z'
'-x,-y,-z'
'-x,y,-z'
'x,-y,z'
'x+1/2,y+1/2,z'
'-x+1/2,-y+1/2,-z'
'-x+1/2,y+1/2,-z'
'x+1/2,-y+1/2,z'
loop_
_atom_site_label
_atom_site_type_symbol
_atom_site_fract_x
_atom_site_fract_y
_atom_site_fract_z
_atom_site_occupancy
La1 La 0.0000 0.0000 0.0000 1
La2 La 0.1194 0.5000 0.5173 1
La3 La 0.1656 0.5000 0.0087 1
Nd1 Nd 0.1716 0.0000 0.2810 1
Tm1 Tm 0.0063 0.5000 0.7489 1
Tm2 Tm 0.1709 0.0000 0.7688 1
```

Starting from DFT lattice parameters and positions (PBE), the X-ray diffraction stick pattern of La3Nd3Tm2 was computed for Cu Ka.
Lines closer than 0.1° are merged.

The 10 most intense peaks (2θ = 15–90°), most intense first:
Position (°2θ)  intensity
29.9  100
50.0  24
34.5  17
34.6  17
35.0  16
59.0  15
59.1  15
59.7  14
49.6  12
62.2  12

Crystal structure
```
data_La3Nd3Tm2
_chemical_formula_sum 'La6 Nd6 Tm4'
_space_group_name_H-M_alt 'I m m m'
_space_group_IT_number 71
_space_group_name_Hall '-I 2 2'
_cell_length_a 5.1871
_cell_length_b 5.2021
_cell_length_c 20.5110
_cell_angle_alpha 90.00
_cell_angle_beta 90.00
_cell_angle_gamma 90.00
loop_
_atom_site_label
_atom_site_type_symbol
_atom_site_fract_x
_atom_site_fract_y
_atom_site_fract_z
_atom_site_occupancy
La1 La 0.0000 0.0000 0.0000 1
La2 La 0.0000 0.5000 0.1283 1
Nd1 Nd 0.0000 0.0000 0.5000 1
Nd2 Nd 0.0000 0.5000 0.3706 1
Tm1 Tm 0.0000 0.0000 0.2494 1
```

Starting from DFT lattice parameters and positions (PBE), the X-ray diffraction stick pattern of LaNd3Tm7 was computed for Cu Ka.
Lines closer than 0.1° are merged.

The 10 most intense peaks (2θ = 15–90°), most intense first:
Position (°2θ)  intensity
31.1  100
36.0  69
30.8  33
61.7  28
51.6  24
52.0  24
61.4  15
61.8  14
64.9  12
85.0  12

Crystal structure
```
data_LaNd3Tm7
_chemical_formula_sum 'La1 Nd3 Tm7'
_space_group_name_H-M_alt 'P 3 m 1'
_space_group_IT_number 156
_cell_length_a 7.0354
_cell_length_b 7.0354
_cell_length_c 8.6999
_cell_angle_alpha 90.00
_cell_angle_beta 90.00
_cell_angle_gamma 120.00
loop_
_space_group_symop_operation_xyz
'x,y,z'
'-y,x-y,z'
'-x+y,-x,z'
'-y,-x,z'
'-x+y,y,z'
'x,x-y,z'
loop_
_atom_site_label
_atom_site_type_symbol
_atom_site_fract_x
_atom_site_fract_y
_atom_site_fract_z
_atom_site_occupancy
La1 La 0.0000 0.0000 0.0000 1
Nd1 Nd 0.1672 0.3343 0.3410 1
Tm1 Tm 0.0014 0.5007 0.9992 1
Tm2 Tm 0.3333 0.6667 0.6784 1
Tm3 Tm 0.3336 0.1668 0.6754 1
```

Starting from DFT lattice parameters and positions (PBE), the X-ray diffraction stick pattern of LaNd2Tm2 was computed for Cu Ka.
Lines closer than 0.1° are merged.

The 10 most intense peaks (2θ = 15–90°), most intense first:
Position (°2θ)  intensity
33.7  100
31.2  90
30.5  54
27.3  44
60.8  41
51.3  34
41.3  29
61.2  26
56.2  24
54.6  19

Crystal structure
```
data_LaNd2Tm2
_chemical_formula_sum 'La4 Nd8 Tm8'
_space_group_name_H-M_alt 'I m m a'
_space_group_IT_number 74
_space_group_name_Hall '-I 2b 2'
_cell_length_a 5.8667
_cell_length_b 7.1311
_cell_length_c 16.4365
_cell_angle_alpha 90.00
_cell_angle_beta 90.00
_cell_angle_gamma 90.00
loop_
_atom_site_label
_atom_site_type_symbol
_atom_site_fract_x
_atom_site_fract_y
_atom_site_fract_z
_atom_site_occupancy
La1 La 0.0000 0.2500 0.1109 1
Nd1 Nd 0.0000 0.0040 0.6901 1
Tm1 Tm 0.0000 0.2500 0.5008 1
Tm2 Tm 0.0000 0.2500 0.8841 1
```

Starting from DFT lattice parameters and positions (PBE), the X-ray diffraction stick pattern of La3Nd4Tm4 was computed for Cu Ka.
Lines closer than 0.1° are merged.

The 10 most intense peaks (2θ = 15–90°), most intense first:
Position (°2θ)  intensity
32.2  100
31.0  42
30.7  25
28.8  23
55.9  21
44.2  19
29.2  13
28.2  12
55.6  10
60.6  9

Crystal structure
```
data_La3Nd4Tm4
_chemical_formula_sum 'La6 Nd8 Tm8'
_space_group_name_H-M_alt 'A m m 2'
_space_group_IT_number 38
_cell_length_a 11.6348
_cell_length_b 5.7699
_cell_length_c 11.3798
_cell_angle_alpha 90.00
_cell_angle_beta 90.00
_cell_angle_gamma 90.00
loop_
_space_group_symop_operation_xyz
'x,y,z'
'-x,-y,z'
'-x,y,z'
'x,-y,z'
'x,y+1/2,z+1/2'
'-x,-y+1/2,z+1/2'
'-x,y+1/2,z+1/2'
'x,-y+1/2,z+1/2'
loop_
_atom_site_label
_atom_site_type_symbol
_atom_site_fract_x
_atom_site_fract_y
_atom_site_fract_z
_atom_site_occupancy
La1 La 0.0000 0.0000 0.0000 1
La2 La 0.3196 0.0000 0.1344 1
Nd1 Nd 0.0000 0.0000 0.6872 1
Nd2 Nd 0.2243 0.0000 0.4887 1
Nd3 Nd 0.5000 0.0000 0.7039 1
Tm1 Tm 0.0000 0.0000 0.3082 1
Tm2 Tm 0.2515 0.0000 0.8236 1
Tm3 Tm 0.5000 0.0000 0.3909 1
```